The following is a simulated XRD peak list of CaAc9Dy2. It was derived from a PBE-relaxed structure, using a wavelength of 1.5418 Å.
Intensities are scaled so that the largest is 100.

Peak list (8 most intense, 2θ from 10° to 90°, low angle first)
2θ = 27.96°, I = 100
2θ = 32.40°, I = 51
2θ = 46.48°, I = 38
2θ = 55.12°, I = 46
2θ = 57.79°, I = 13
2θ = 74.90°, I = 19
2θ = 77.17°, I = 11
2θ = 86.22°, I = 13

Structural model:
```
data_CaAc9Dy2
_chemical_formula_sum 'Ca1 Ac9 Dy2'
_symmetry_space_group_name_H-M 'P 4/m m m'
_symmetry_Int_Tables_number 123
_symmetry_space_group_name_Hall '-P 4 2'
_cell_length_a 5.523
_cell_length_b 5.523
_cell_length_c 16.599
_cell_angle_alpha 90.00
_cell_angle_beta 90.00
_cell_angle_gamma 90.00
loop_
_atom_site_label
_atom_site_type_symbol
_atom_site_fract_x
_atom_site_fract_y
_atom_site_fract_z
Ca1 Ca 0.000 0.000 0.000
Ac1 Ac 0.000 0.500 0.172
Ac2 Ac 0.000 0.500 0.500
Ac3 Ac 0.500 0.500 0.000
Ac4 Ac 0.500 0.500 0.336
Dy1 Dy 0.000 0.000 0.334
```